Entry 1:
# Tm2Lu2In5Ni2
Theoretical powder diffraction line list, Cu Kα X-rays. Input: a GGA-PBE-relaxed structure.
Neutral-atom scattering factors, no anomalous dispersion.

Atomic structure:
a b c (Å): 7.644 3.499 9.374
angles (deg): 90.00 94.67 90.00
Sites, in units of the cell vectors:
1 Tm 0.182 0.000 0.343
2 Tm 0.818 0.000 0.657
3 Lu 0.207 0.000 0.938
4 Lu 0.793 0.000 0.062
5 In 0.161 0.500 0.645
6 In 0.455 0.500 0.168
7 In 0.500 0.500 0.500
8 In 0.545 0.500 0.832
9 In 0.839 0.500 0.355
10 Ni 0.071 0.500 0.131
11 Ni 0.929 0.500 0.869

Main lines, by intensity (2θ from 10° to 80°):
2θ 34.66, 2.588 Å, rel. 100; 2θ 34.82, 2.577 Å, rel. 86; 2θ 33.55, 2.671 Å, rel. 85; 2θ 35.34, 2.540 Å, rel. 68; 2θ 31.92, 2.804 Å, rel. 63; 2θ 38.97, 2.311 Å, rel. 62; 2θ 35.72, 2.514 Å, rel. 55; 2θ 38.71, 2.326 Å, rel. 49; 2θ 36.68, 2.450 Å, rel. 40; 2θ 52.29, 1.749 Å, rel. 39; 2θ 28.06, 3.180 Å, rel. 25; 2θ 66.99, 1.397 Å, rel. 24

---

Entry 2:
# Cu2Ag7
Theoretical powder diffraction line list, Cu Kα X-rays. Input: a GGA-PBE-relaxed structure.
Neutral-atom scattering factors, no anomalous dispersion.

Atomic structure:
a b c (Å): 7.552 7.552 7.552
angles (deg): 38.65 38.65 38.65
Sites, in units of the cell vectors:
1 Cu 0.167 0.167 0.167
2 Cu 0.833 0.833 0.833
3 Ag 0.054 0.730 0.392
4 Ag 0.270 0.608 0.946
5 Ag 0.392 0.054 0.730
6 Ag 0.500 0.500 0.500
7 Ag 0.608 0.946 0.270
8 Ag 0.730 0.392 0.054
9 Ag 0.946 0.270 0.608

Main lines, by intensity (2θ from 10° to 80°):
2θ 38.25, 2.353 Å, rel. 100; 2θ 44.60, 2.032 Å, rel. 62; 2θ 38.71, 2.326 Å, rel. 31; 2θ 77.91, 1.226 Å, rel. 22; 2θ 64.60, 1.443 Å, rel. 19; 2θ 65.22, 1.431 Å, rel. 19; 2θ 77.63, 1.230 Å, rel. 11; 2θ 78.49, 1.219 Å, rel. 10; 2θ 25.53, 3.489 Å, rel. 3; 2θ 12.68, 6.979 Å, rel. 2; 2θ 53.84, 1.703 Å, rel. 1; 2θ 35.94, 2.499 Å, rel. 1

---

Entry 3:
# HfPdPb
Theoretical powder diffraction line list, Cu Kα X-rays. Input: a GGA-PBE-relaxed structure.
Neutral-atom scattering factors, no anomalous dispersion.

Atomic structure:
a b c (Å): 3.552 3.552 10.262
angles (deg): 90.00 90.00 90.00
Sites, in units of the cell vectors:
1 Hf 0.250 0.250 0.194
2 Hf 0.750 0.750 0.806
3 Pd 0.250 0.250 0.925
4 Pd 0.750 0.750 0.075
5 Pb 0.250 0.250 0.619
6 Pb 0.750 0.750 0.381

Main lines, by intensity (2θ from 10° to 80°):
2θ 35.75, 2.511 Å, rel. 100; 2θ 36.47, 2.464 Å, rel. 99; 2θ 30.61, 2.920 Å, rel. 66; 2θ 64.71, 1.441 Å, rel. 38; 2θ 51.46, 1.776 Å, rel. 36; 2θ 43.52, 2.080 Å, rel. 29; 2θ 61.07, 1.517 Å, rel. 20; 2θ 58.04, 1.589 Å, rel. 15; 2θ 69.62, 1.350 Å, rel. 14; 2θ 69.35, 1.355 Å, rel. 14; 2θ 50.88, 1.795 Å, rel. 14; 2θ 75.75, 1.256 Å, rel. 12

---

Entry 4:
# Y6Zn23
Theoretical powder diffraction line list, Cu Kα X-rays. Input: a GGA-PBE-relaxed structure.
Neutral-atom scattering factors, no anomalous dispersion.

Atomic structure:
a b c (Å): 8.942 8.942 8.942
angles (deg): 60.00 60.00 60.00
Sites, in units of the cell vectors:
1 Y 0.206 0.206 0.794
2 Y 0.206 0.794 0.206
3 Y 0.206 0.794 0.794
4 Y 0.794 0.206 0.206
5 Y 0.794 0.206 0.794
6 Y 0.794 0.794 0.206
7 Zn 0.000 0.000 0.500
8 Zn 0.000 0.500 0.000
9 Zn 0.000 0.500 0.500
10 Zn 0.130 0.623 0.623
11 Zn 0.171 0.171 0.171
12 Zn 0.171 0.171 0.488
13 Zn 0.171 0.488 0.171
14 Zn 0.377 0.377 0.377
15 Zn 0.377 0.377 0.870
16 Zn 0.377 0.870 0.377
17 Zn 0.488 0.171 0.171
18 Zn 0.500 0.000 0.000
19 Zn 0.500 0.000 0.500
20 Zn 0.500 0.500 0.000
21 Zn 0.500 0.500 0.500
22 Zn 0.512 0.829 0.829
23 Zn 0.623 0.130 0.623
24 Zn 0.623 0.623 0.130
25 Zn 0.623 0.623 0.623
26 Zn 0.829 0.512 0.829
27 Zn 0.829 0.829 0.512
28 Zn 0.829 0.829 0.829
29 Zn 0.870 0.377 0.377

Main lines, by intensity (2θ from 10° to 80°):
2θ 40.34, 2.236 Å, rel. 100; 2θ 36.93, 2.434 Å, rel. 55; 2θ 42.28, 2.138 Å, rel. 19; 2θ 34.75, 2.581 Å, rel. 18; 2θ 74.68, 1.271 Å, rel. 16; 2θ 73.35, 1.291 Å, rel. 15; 2θ 62.30, 1.490 Å, rel. 14; 2θ 42.91, 2.108 Å, rel. 14; 2θ 67.47, 1.388 Å, rel. 10; 2θ 47.12, 1.929 Å, rel. 8; 2θ 30.82, 2.901 Å, rel. 8; 2θ 14.01, 6.323 Å, rel. 8

---

Entry 5:
# NaNdHgS3
Theoretical powder diffraction line list, Cu Kα X-rays. Input: a GGA-PBE-relaxed structure.
Neutral-atom scattering factors, no anomalous dispersion.

Atomic structure:
a b c (Å): 12.458 4.119 11.735
angles (deg): 90.00 90.00 90.00
Sites, in units of the cell vectors:
1 Na 0.128 0.250 0.014
2 Na 0.372 0.750 0.514
3 Na 0.628 0.250 0.486
4 Na 0.872 0.750 0.986
5 Nd 0.049 0.250 0.672
6 Nd 0.451 0.750 0.172
7 Nd 0.549 0.250 0.828
8 Nd 0.951 0.750 0.328
9 Hg 0.236 0.250 0.295
10 Hg 0.264 0.750 0.795
11 Hg 0.736 0.250 0.205
12 Hg 0.764 0.750 0.705
13 S 0.063 0.750 0.846
14 S 0.079 0.250 0.424
15 S 0.227 0.750 0.152
16 S 0.273 0.250 0.652
17 S 0.421 0.750 0.924
18 S 0.437 0.250 0.346
19 S 0.563 0.750 0.654
20 S 0.579 0.250 0.076
21 S 0.727 0.750 0.348
22 S 0.773 0.250 0.848
23 S 0.921 0.750 0.576
24 S 0.937 0.250 0.154

Main lines, by intensity (2θ from 10° to 80°):
2θ 27.04, 3.297 Å, rel. 100; 2θ 15.10, 5.867 Å, rel. 90; 2θ 32.37, 2.766 Å, rel. 72; 2θ 48.63, 1.872 Å, rel. 40; 2θ 29.68, 3.010 Å, rel. 32; 2θ 43.13, 2.097 Å, rel. 29; 2θ 32.55, 2.751 Å, rel. 29; 2θ 34.75, 2.581 Å, rel. 28; 2θ 37.54, 2.396 Å, rel. 27; 2θ 10.36, 8.542 Å, rel. 27; 2θ 43.97, 2.059 Å, rel. 26; 2θ 23.99, 3.710 Å, rel. 24

---

Entry 6:
# Rb4AgSb2Au
Theoretical powder diffraction line list, Cu Kα X-rays. Input: a GGA-PBE-relaxed structure.
Neutral-atom scattering factors, no anomalous dispersion.

Atomic structure:
a b c (Å): 8.324 11.037 6.703
angles (deg): 90.00 90.20 90.00
Sites, in units of the cell vectors:
1 Rb 0.154 0.171 0.247
2 Rb 0.154 0.829 0.247
3 Rb 0.346 0.329 0.753
4 Rb 0.346 0.671 0.753
5 Rb 0.654 0.329 0.247
6 Rb 0.654 0.671 0.247
7 Rb 0.846 0.171 0.753
8 Rb 0.846 0.829 0.753
9 Ag 0.000 0.500 0.500
10 Ag 0.500 0.000 0.500
11 Sb 0.244 0.000 0.751
12 Sb 0.256 0.500 0.249
13 Sb 0.744 0.500 0.751
14 Sb 0.756 0.000 0.249
15 Au 0.000 0.500 0.000
16 Au 0.500 0.000 0.000

Main lines, by intensity (2θ from 10° to 80°):
2θ 29.70, 3.008 Å, rel. 100; 2θ 29.86, 2.992 Å, rel. 59; 2θ 26.49, 3.365 Å, rel. 58; 2θ 16.06, 5.519 Å, rel. 49; 2θ 13.32, 6.646 Å, rel. 47; 2θ 33.30, 2.691 Å, rel. 32; 2θ 34.30, 2.615 Å, rel. 28; 2θ 25.17, 3.538 Å, rel. 27; 2θ 34.42, 2.606 Å, rel. 26; 2θ 48.95, 1.861 Å, rel. 24; 2θ 46.65, 1.947 Å, rel. 24; 2θ 47.98, 1.896 Å, rel. 23

---

Entry 7:
# Y2Ta
Theoretical powder diffraction line list, Cu Kα X-rays. Input: a GGA-PBE-relaxed structure.
Neutral-atom scattering factors, no anomalous dispersion.

Atomic structure:
a b c (Å): 6.007 6.007 6.007
angles (deg): 60.00 60.00 60.00
Sites, in units of the cell vectors:
1 Y 0.000 0.000 0.000
2 Y 0.000 0.000 0.500
3 Y 0.000 0.500 0.000
4 Y 0.500 0.000 0.000
5 Ta 0.375 0.375 0.375
6 Ta 0.625 0.625 0.625

Main lines, by intensity (2θ from 10° to 80°):
2θ 35.03, 2.561 Å, rel. 100; 2θ 29.75, 3.003 Å, rel. 52; 2θ 56.27, 1.635 Å, rel. 34; 2θ 61.78, 1.502 Å, rel. 26; 2θ 52.79, 1.734 Å, rel. 21; 2θ 36.65, 2.452 Å, rel. 21; 2θ 73.04, 1.295 Å, rel. 12; 2θ 70.05, 1.343 Å, rel. 9; 2θ 74.02, 1.281 Å, rel. 7; 2θ 18.09, 4.905 Å, rel. 4; 2θ 46.60, 1.949 Å, rel. 1; 2θ 64.94, 1.436 Å, rel. 1

---

Entry 8:
# Nd3Zn2Ge4Pd2
Theoretical powder diffraction line list, Cu Kα X-rays. Input: a GGA-PBE-relaxed structure.
Neutral-atom scattering factors, no anomalous dispersion.

Atomic structure:
a b c (Å): 13.256 13.256 13.256
angles (deg): 162.17 161.18 26.04
Sites, in units of the cell vectors:
1 Nd 0.000 0.000 0.000
2 Nd 0.354 0.854 0.500
3 Nd 0.646 0.146 0.500
4 Zn 0.251 0.251 0.000
5 Zn 0.749 0.749 0.000
6 Ge 0.191 0.691 0.500
7 Ge 0.451 0.451 0.000
8 Ge 0.549 0.549 0.000
9 Ge 0.809 0.309 0.500
10 Pd 0.095 0.595 0.500
11 Pd 0.905 0.405 0.500

Main lines, by intensity (2θ from 10° to 80°):
2θ 33.09, 2.707 Å, rel. 100; 2θ 32.61, 2.746 Å, rel. 48; 2θ 43.85, 2.065 Å, rel. 31; 2θ 41.67, 2.167 Å, rel. 29; 2θ 44.08, 2.055 Å, rel. 25; 2θ 53.90, 1.701 Å, rel. 23; 2θ 63.92, 1.456 Å, rel. 20; 2θ 62.27, 1.491 Å, rel. 17; 2θ 37.59, 2.393 Å, rel. 16; 2θ 74.04, 1.280 Å, rel. 12; 2θ 30.77, 2.906 Å, rel. 12; 2θ 70.63, 1.334 Å, rel. 11

---

Entry 9:
# Ge3Pt2
Theoretical powder diffraction line list, Cu Kα X-rays. Input: a GGA-PBE-relaxed structure.
Neutral-atom scattering factors, no anomalous dispersion.

Atomic structure:
a b c (Å): 16.599 3.446 6.288
angles (deg): 90.00 90.00 90.00
Sites, in units of the cell vectors:
1 Ge 0.071 0.250 0.058
2 Ge 0.113 0.750 0.586
3 Ge 0.231 0.750 0.841
4 Ge 0.269 0.250 0.341
5 Ge 0.387 0.250 0.086
6 Ge 0.429 0.750 0.558
7 Ge 0.571 0.250 0.442
8 Ge 0.613 0.750 0.914
9 Ge 0.731 0.750 0.659
10 Ge 0.769 0.250 0.159
11 Ge 0.887 0.250 0.414
12 Ge 0.929 0.750 0.942
13 Pt 0.007 0.250 0.695
14 Pt 0.171 0.750 0.207
15 Pt 0.329 0.250 0.707
16 Pt 0.493 0.750 0.195
17 Pt 0.507 0.250 0.805
18 Pt 0.671 0.750 0.293
19 Pt 0.829 0.250 0.793
20 Pt 0.993 0.750 0.305

Main lines, by intensity (2θ from 10° to 80°):
2θ 44.39, 2.041 Å, rel. 100; 2θ 33.80, 2.652 Å, rel. 71; 2θ 29.56, 3.022 Å, rel. 41; 2θ 43.57, 2.077 Å, rel. 36; 2θ 42.20, 2.142 Å, rel. 34; 2θ 17.70, 5.012 Å, rel. 30; 2θ 28.04, 3.183 Å, rel. 27; 2θ 53.15, 1.723 Å, rel. 27; 2θ 28.39, 3.144 Å, rel. 26; 2θ 25.72, 3.463 Å, rel. 25; 2θ 46.32, 1.960 Å, rel. 25; 2θ 51.00, 1.791 Å, rel. 24

---

Entry 10:
# Gd2NbCoSi2
Theoretical powder diffraction line list, Cu Kα X-rays. Input: a GGA-PBE-relaxed structure.
Neutral-atom scattering factors, no anomalous dispersion.

Atomic structure:
a b c (Å): 3.971 3.971 7.393
angles (deg): 90.00 90.00 90.00
Sites, in units of the cell vectors:
1 Gd 0.000 0.500 0.156
2 Gd 0.500 0.000 0.844
3 Nb 0.500 0.500 0.500
4 Co 0.000 0.000 0.500
5 Si 0.000 0.500 0.721
6 Si 0.500 0.000 0.279

Main lines, by intensity (2θ from 10° to 80°):
2θ 33.11, 2.706 Å, rel. 100; 2θ 34.15, 2.625 Å, rel. 99; 2θ 25.46, 3.499 Å, rel. 83; 2θ 40.33, 2.236 Å, rel. 65; 2θ 45.69, 1.986 Å, rel. 58; 2θ 59.85, 1.545 Å, rel. 56; 2θ 57.57, 1.601 Å, rel. 41; 2θ 36.46, 2.464 Å, rel. 38; 2θ 31.87, 2.808 Å, rel. 25; 2θ 53.03, 1.727 Å, rel. 23; 2θ 66.60, 1.404 Å, rel. 19; 2θ 77.02, 1.238 Å, rel. 18

---

Entry 11:
# AgCClO
Theoretical powder diffraction line list, Cu Kα X-rays. Input: a GGA-PBE-relaxed structure.
Neutral-atom scattering factors, no anomalous dispersion.

Atomic structure:
a b c (Å): 3.763 8.475 5.052
angles (deg): 90.00 90.00 90.00
Sites, in units of the cell vectors:
1 Ag 0.000 0.149 0.000
2 Ag 0.500 0.851 0.500
3 C 0.000 0.344 0.759
4 C 0.500 0.656 0.259
5 Cl 0.000 0.858 0.865
6 Cl 0.500 0.142 0.365
7 O 0.000 0.461 0.645
8 O 0.500 0.539 0.145

Main lines, by intensity (2θ from 10° to 80°):
2θ 10.44, 8.475 Å, rel. 100; 2θ 29.60, 3.018 Å, rel. 78; 2θ 31.47, 2.843 Å, rel. 59; 2θ 48.39, 1.881 Å, rel. 58; 2θ 20.47, 4.339 Å, rel. 49; 2θ 27.47, 3.247 Å, rel. 49; 2θ 43.90, 2.062 Å, rel. 40; 2θ 31.67, 2.825 Å, rel. 34; 2θ 25.90, 3.440 Å, rel. 33; 2θ 52.79, 1.734 Å, rel. 22; 2θ 44.50, 2.036 Å, rel. 21; 2θ 59.00, 1.566 Å, rel. 19

---

Entry 12:
# Cu4Ag
Theoretical powder diffraction line list, Cu Kα X-rays. Input: a GGA-PBE-relaxed structure.
Neutral-atom scattering factors, no anomalous dispersion.

Atomic structure:
a b c (Å): 7.077 7.077 7.230
angles (deg): 104.39 104.39 21.90
Sites, in units of the cell vectors:
1 Cu 0.000 0.000 0.226
2 Cu 0.000 0.000 0.774
3 Cu 0.201 0.201 0.334
4 Cu 0.201 0.201 0.862
5 Cu 0.398 0.398 0.950
6 Cu 0.602 0.602 0.050
7 Cu 0.799 0.799 0.138
8 Cu 0.799 0.799 0.666
9 Ag 0.398 0.398 0.451
10 Ag 0.602 0.602 0.549

Main lines, by intensity (2θ from 10° to 80°):
2θ 41.87, 2.158 Å, rel. 100; 2θ 47.84, 1.901 Å, rel. 68; 2θ 41.72, 2.165 Å, rel. 50; 2θ 42.02, 2.150 Å, rel. 49; 2θ 50.49, 1.808 Å, rel. 26; 2θ 69.98, 1.344 Å, rel. 20; 2θ 71.88, 1.313 Å, rel. 17; 2θ 72.31, 1.307 Å, rel. 16; 2θ 37.49, 2.399 Å, rel. 5; 2θ 35.79, 2.509 Å, rel. 4; 2θ 25.52, 3.491 Å, rel. 4; 2θ 12.66, 6.995 Å, rel. 3

---

Entry 13:
# Na2CdGe2Se6
Theoretical powder diffraction line list, Cu Kα X-rays. Input: a GGA-PBE-relaxed structure.
Neutral-atom scattering factors, no anomalous dispersion.

Atomic structure:
a b c (Å): 7.728 7.728 12.286
angles (deg): 94.37 94.37 120.28
Sites, in units of the cell vectors:
1 Na 0.006 0.994 0.500
2 Na 0.196 0.599 0.869
3 Na 0.599 0.196 0.369
4 Na 0.994 0.006 0.000
5 Cd 0.083 0.585 0.209
6 Cd 0.585 0.083 0.709
7 Ge 0.316 0.596 0.488
8 Ge 0.596 0.316 0.988
9 Ge 0.618 0.665 0.237
10 Ge 0.665 0.618 0.737
11 Se 0.037 0.344 0.365
12 Se 0.308 0.446 0.655
13 Se 0.344 0.037 0.865
14 Se 0.345 0.916 0.516
15 Se 0.446 0.308 0.155
16 Se 0.468 0.846 0.182
17 Se 0.610 0.617 0.929
18 Se 0.617 0.610 0.429
19 Se 0.846 0.468 0.682
20 Se 0.856 0.968 0.727
21 Se 0.916 0.345 0.016
22 Se 0.968 0.856 0.227

Main lines, by intensity (2θ from 10° to 80°):
2θ 14.37, 6.163 Å, rel. 100; 2θ 27.32, 3.264 Å, rel. 98; 2θ 26.98, 3.305 Å, rel. 93; 2θ 28.94, 3.086 Å, rel. 92; 2θ 13.39, 6.614 Å, rel. 87; 2θ 29.43, 3.035 Å, rel. 68; 2θ 30.73, 2.909 Å, rel. 64; 2θ 23.09, 3.852 Å, rel. 57; 2θ 24.21, 3.677 Å, rel. 55; 2θ 47.19, 1.926 Å, rel. 54; 2θ 27.62, 3.230 Å, rel. 53; 2θ 26.42, 3.373 Å, rel. 50